Theoretical powder diffractogram of CsHg2Sb2 for Cu Kα, from a structure optimized by DFT (GGA-PBE).

Structural model:
```
data_CsHg2Sb2
_space_group_name_H-M_alt 'C 1 2/m 1'
_space_group_IT_number 12
_cell_length_a 14.640
_cell_length_b 4.212
_cell_length_c 5.964
_cell_angle_alpha 90.00
_cell_angle_beta 100.95
_cell_angle_gamma 90.00
loop_
_space_group_symop_operation_xyz
'x,y,z'
'-x,-y,-z'
'-x,y,-z'
'x,-y,z'
'x+1/2,y+1/2,z'
'-x+1/2,-y+1/2,-z'
'-x+1/2,y+1/2,-z'
'x+1/2,-y+1/2,z'
loop_
_atom_site_label
_atom_site_type_symbol
_atom_site_fract_x
_atom_site_fract_y
_atom_site_fract_z
Cs1 Cs 0.000 0.000 0.000
Hg1 Hg 0.110 0.500 0.537
Sb1 Sb 0.249 0.500 0.169
```

Main lines, low angle first (15 to 90 degrees two-theta):
2θ (°)	I_rel	index
26.11	25	1 1 -1
26.53	52	4 0 -1
27.48	100	1 1 1
28.21	29	3 1 0
30.71	28	2 0 -2
31.59	43	4 0 1
36.94	30	1 1 -2
37.89	32	5 1 0
38.62	28	5 1 -1
42.95	27	0 2 0

***

Theoretical powder diffractogram of Cs5HgSb2 for Cu Kα, from a structure optimized by DFT (GGA-PBE).

Structural model:
```
data_Cs5HgSb2
_space_group_name_H-M_alt 'R -3 m'
_space_group_IT_number 166
_space_group_name_Hall '-R 3 2"'
_cell_length_a 6.5689
_cell_length_b 6.5689
_cell_length_c 34.0359
_cell_angle_alpha 90.00
_cell_angle_beta 90.00
_cell_angle_gamma 120.00
loop_
_atom_site_label
_atom_site_type_symbol
_atom_site_fract_x
_atom_site_fract_y
_atom_site_fract_z
Cs1 Cs 0.0000 0.0000 0.0000
Cs2 Cs 0.0000 0.0000 0.1287
Cs3 Cs 0.0000 0.0000 0.2787
Hg1 Hg 0.0000 0.0000 0.5000
Sb1 Sb 0.0000 0.0000 0.4143
```

Main lines, low angle first (15 to 90 degrees two-theta):
2θ (°)	I_rel	index
24.08	39	1 0 7
26.16	25	0 1 8
27.15	100	1 1 0
30.61	14	1 0 10
36.60	13	0 2 7
37.83	11	1 0 13
40.34	14	0 1 14
46.16	13	2 1 7
47.98	21	3 0 0
56.00	13	2 2 0

***

Theoretical powder diffractogram of CsSrHg2Sb2 for Cu Kα, from a structure optimized by DFT (GGA-PBE).

Structural model:
```
data_CsSrHg2Sb2
_space_group_name_H-M_alt 'P -3 m 1'
_space_group_IT_number 164
_space_group_name_Hall '-P 3 2"'
_cell_length_a 5.1139
_cell_length_b 5.1139
_cell_length_c 9.7343
_cell_angle_alpha 90.00
_cell_angle_beta 90.00
_cell_angle_gamma 120.00
loop_
_atom_site_label
_atom_site_type_symbol
_atom_site_fract_x
_atom_site_fract_y
_atom_site_fract_z
Cs1 Cs 0.0000 0.0000 0.0000
Sr1 Sr 0.0000 0.0000 0.5000
Hg1 Hg 0.3333 0.6667 0.3270
Sb1 Sb 0.3333 0.6667 0.7129
```

Main lines, low angle first (15 to 90 degrees two-theta):
2θ (°)	I_rel	index
22.05	26	0 1 1
27.22	100	1 0 2
27.49	25	0 0 3
34.26	17	1 0 3
35.10	83	1 1 0
44.97	26	0 2 2
45.15	40	1 1 3
51.26	15	1 0 5
58.29	24	2 1 2
62.96	15	3 0 0

***

Theoretical powder diffractogram of CsHg5Se4 for Cu Kα, from a structure optimized by DFT (GGA-PBE).

Structural model:
```
data_CsHg5Se4
_space_group_name_H-M_alt 'P m m n'
_space_group_IT_number 59
_cell_length_a 10.014
_cell_length_b 12.735
_cell_length_c 5.413
_cell_angle_alpha 90.00
_cell_angle_beta 90.00
_cell_angle_gamma 90.00
loop_
_space_group_symop_operation_xyz
'x,y,z'
'-x,-y,-z'
'-x+1/2,-y+1/2,z'
'x+1/2,y+1/2,-z'
'x+1/2,-y,-z'
'-x+1/2,y,z'
'-x,y+1/2,-z'
'x,-y+1/2,z'
loop_
_atom_site_label
_atom_site_type_symbol
_atom_site_fract_x
_atom_site_fract_y
_atom_site_fract_z
Cs1 Cs 0.250 0.250 0.025
Hg1 Hg 0.071 0.561 0.666
Hg2 Hg 0.250 0.750 0.228
Se1 Se 0.008 0.750 0.463
Se2 Se 0.250 0.549 0.027
```

Main lines, low angle first (15 to 90 degrees two-theta):
2θ (°)	I_rel	index
22.59	35	2 2 0
23.33	70	1 2 1
24.21	99	2 0 1
25.22	33	2 1 1
26.69	100	0 3 1
31.49	82	3 0 1
34.17	31	3 3 0
38.11	37	3 3 1
40.47	34	2 2 2
48.31	39	3 3 2

***

Theoretical powder diffractogram of CsHgSe for Cu Kα, from a structure optimized by DFT (GGA-PBE).

Structural model:
```
data_CsHgSe
_space_group_name_H-M_alt 'C 1 m 1'
_space_group_IT_number 8
_cell_length_a 14.951
_cell_length_b 4.474
_cell_length_c 10.187
_cell_angle_alpha 90.00
_cell_angle_beta 132.91
_cell_angle_gamma 90.00
loop_
_space_group_symop_operation_xyz
'x,y,z'
'x,-y,z'
'x+1/2,y+1/2,z'
'x+1/2,-y+1/2,z'
loop_
_atom_site_label
_atom_site_type_symbol
_atom_site_fract_x
_atom_site_fract_y
_atom_site_fract_z
Cs1 Cs 0.000 0.000 0.000
Cs2 Cs 0.001 0.000 0.549
Hg1 Hg 0.179 0.500 0.453
Hg2 Hg 0.235 0.500 0.011
Se1 Se 0.317 0.000 0.591
Se2 Se 0.443 0.000 0.217
```

Main lines, low angle first (15 to 90 degrees two-theta):
2θ (°)	I_rel	index
17.41	25	2 0 -2
21.45	25	1 1 0
23.86	81	4 0 -2
27.19	24	1 1 1
27.76	100	3 1 -2
31.63	47	3 1 0
35.24	28	4 0 -4
40.32	21	0 2 0
47.39	26	4 2 -2
48.08	26	7 1 -4

***

Theoretical powder diffractogram of CsTlHgSe for Cu Kα, from a structure optimized by DFT (GGA-PBE).

Structural model:
```
data_CsTlHgSe
_space_group_name_H-M_alt 'I m m 2'
_space_group_IT_number 44
_cell_length_a 4.299
_cell_length_b 5.916
_cell_length_c 12.623
_cell_angle_alpha 90.00
_cell_angle_beta 90.00
_cell_angle_gamma 90.00
loop_
_space_group_symop_operation_xyz
'x,y,z'
'-x,-y,z'
'-x,y,z'
'x,-y,z'
'x+1/2,y+1/2,z+1/2'
'-x+1/2,-y+1/2,z+1/2'
'-x+1/2,y+1/2,z+1/2'
'x+1/2,-y+1/2,z+1/2'
loop_
_atom_site_label
_atom_site_type_symbol
_atom_site_fract_x
_atom_site_fract_y
_atom_site_fract_z
Cs1 Cs 0.000 0.000 0.000
Tl1 Tl 0.000 0.500 0.222
Hg1 Hg 0.000 0.000 0.325
Se1 Se 0.000 0.000 0.567
```

Main lines, low angle first (15 to 90 degrees two-theta):
2θ (°)	I_rel	index
21.84	100	1 0 1
25.99	96	0 1 3
29.32	79	1 1 2
29.71	48	1 0 3
30.21	72	0 2 0
37.59	51	1 2 1
38.52	69	1 1 4
42.89	36	1 2 3
50.09	33	2 1 3
52.63	31	2 2 0

***

Theoretical powder diffractogram of Cs2UHg2Se5 for Cu Kα, from a structure optimized by DFT (GGA-PBE).

Structural model:
```
data_Cs2UHg2Se5
_space_group_name_H-M_alt 'P 1 2/c 1'
_space_group_IT_number 13
_cell_length_a 10.452
_cell_length_b 4.354
_cell_length_c 16.823
_cell_angle_alpha 90.00
_cell_angle_beta 114.30
_cell_angle_gamma 90.00
loop_
_space_group_symop_operation_xyz
'x,y,z'
'-x,-y,-z'
'-x,y,-z+1/2'
'x,-y,z+1/2'
loop_
_atom_site_label
_atom_site_type_symbol
_atom_site_fract_x
_atom_site_fract_y
_atom_site_fract_z
Cs1 Cs 0.232 0.186 0.445
U1 U 0.500 0.297 0.250
Hg1 Hg 0.170 0.131 0.702
Se1 Se 0.000 0.422 0.750
Se2 Se 0.220 0.319 0.117
Se3 Se 0.445 0.202 0.844
```

Main lines, low angle first (15 to 90 degrees two-theta):
2θ (°)	I_rel	index
21.13	32	1 0 -4
24.15	29	1 1 1
25.76	37	2 0 2
26.00	33	1 1 -3
26.92	24	0 1 3
28.10	41	3 0 0
28.41	100	2 1 -3
30.95	30	2 1 -4
40.15	25	1 1 5
48.33	31	5 1 -3

***

Theoretical powder diffractogram of Cs2UHgSe4 for Cu Kα, from a structure optimized by DFT (GGA-PBE).

Structural model:
```
data_Cs2UHgSe4
_space_group_name_H-M_alt 'F d d d'
_space_group_IT_number 70
_cell_length_a 6.597
_cell_length_b 15.359
_cell_length_c 26.625
_cell_angle_alpha 90.00
_cell_angle_beta 90.00
_cell_angle_gamma 90.00
loop_
_space_group_symop_operation_xyz
'x,y,z'
'-x,-y,-z'
'-x+1/4,-y+1/4,z'
'x+1/4,y+1/4,-z'
'x,-y+1/4,-z+1/4'
'-x,y+1/4,z+1/4'
'-x+1/4,y,-z+1/4'
'x+1/4,-y,z+1/4'
'x,y+1/2,z+1/2'
'-x,-y+1/2,-z+1/2'
'-x+1/4,-y+3/4,z+1/2'
'x+1/4,y+3/4,-z+1/2'
'x,-y+3/4,-z+3/4'
'-x,y+3/4,z+3/4'
'-x+1/4,y+1/2,-z+3/4'
'x+1/4,-y+1/2,z+3/4'
'x+1/2,y,z+1/2'
'-x+1/2,-y,-z+1/2'
'-x+3/4,-y+1/4,z+1/2'
'x+3/4,y+1/4,-z+1/2'
'x+1/2,-y+1/4,-z+3/4'
'-x+1/2,y+1/4,z+3/4'
'-x+3/4,y,-z+3/4'
'x+3/4,-y,z+3/4'
'x+1/2,y+1/2,z'
'-x+1/2,-y+1/2,-z'
'-x+3/4,-y+3/4,z'
'x+3/4,y+3/4,-z'
'x+1/2,-y+3/4,-z+1/4'
'-x+1/2,y+3/4,z+1/4'
'-x+3/4,y+1/2,-z+1/4'
'x+3/4,-y+1/2,z+1/4'
loop_
_atom_site_label
_atom_site_type_symbol
_atom_site_fract_x
_atom_site_fract_y
_atom_site_fract_z
Cs1 Cs 0.125 0.125 0.305
U1 U 0.125 0.125 0.125
Hg1 Hg 0.125 0.125 0.625
Se1 Se 0.117 0.271 0.430
```

Main lines, low angle first (15 to 90 degrees two-theta):
2θ (°)	I_rel	index
23.15	100	0 2 6
24.18	46	1 3 3
27.70	42	1 3 5
29.47	44	2 2 0
33.86	54	2 0 6
35.70	28	0 4 8
36.54	31	2 4 2
40.69	33	0 6 6
44.82	31	2 6 0
47.33	29	0 8 0

***

Theoretical powder diffractogram of CsSiHg2Te4 for Cu Kα, from a structure optimized by DFT (GGA-PBE).

Structural model:
```
data_CsSiHg2Te4
_space_group_name_H-M_alt 'I 2 2 2'
_space_group_IT_number 23
_cell_length_a 7.567
_cell_length_b 8.566
_cell_length_c 9.566
_cell_angle_alpha 90.00
_cell_angle_beta 90.00
_cell_angle_gamma 90.00
loop_
_space_group_symop_operation_xyz
'x,y,z'
'-x,-y,z'
'x,-y,-z'
'-x,y,-z'
'x+1/2,y+1/2,z+1/2'
'-x+1/2,-y+1/2,z+1/2'
'x+1/2,-y+1/2,-z+1/2'
'-x+1/2,y+1/2,-z+1/2'
loop_
_atom_site_label
_atom_site_type_symbol
_atom_site_fract_x
_atom_site_fract_y
_atom_site_fract_z
Cs1 Cs 0.000 0.000 0.000
Si1 Si 0.000 0.000 0.500
Hg1 Hg 0.000 0.500 0.217
Te1 Te 0.190 0.181 0.352
```

Main lines, low angle first (15 to 90 degrees two-theta):
2θ (°)	I_rel	index
18.55	13	0 0 2
24.34	100	1 1 2
25.65	31	1 2 1
29.90	20	0 1 3
31.55	39	2 2 0
36.85	20	3 0 1
37.13	14	3 1 0
38.60	25	1 3 2
41.84	21	3 1 2
49.13	20	2 3 3

***

Theoretical powder diffractogram of CsSmHgTe3 for Cu Kα, from a structure optimized by DFT (GGA-PBE).

Structural model:
```
data_CsSmHgTe3
_space_group_name_H-M_alt 'P 1 21/m 1'
_space_group_IT_number 11
_cell_length_a 10.090
_cell_length_b 4.617
_cell_length_c 11.279
_cell_angle_alpha 90.00
_cell_angle_beta 110.43
_cell_angle_gamma 90.00
loop_
_space_group_symop_operation_xyz
'x,y,z'
'-x,-y,-z'
'-x,y+1/2,-z'
'x,-y+1/2,z'
loop_
_atom_site_label
_atom_site_type_symbol
_atom_site_fract_x
_atom_site_fract_y
_atom_site_fract_z
Cs1 Cs 0.225 0.250 0.256
Sm1 Sm 0.325 0.750 0.865
Hg1 Hg 0.088 0.250 0.620
Te1 Te 0.109 0.250 0.875
Te2 Te 0.222 0.750 0.551
Te3 Te 0.473 0.750 0.156
```

Main lines, low angle first (15 to 90 degrees two-theta):
2θ (°)	I_rel	index
25.18	39	1 1 -2
26.23	100	2 1 -1
26.99	78	2 1 0
30.00	58	1 0 3
30.67	52	1 1 -3
38.07	59	2 1 -4
39.01	50	0 2 0
41.06	30	4 1 -1
42.93	35	3 1 2
49.99	35	1 2 3

***

Theoretical powder diffractogram of Cs3Sn4Hg2 for Cu Kα, from a structure optimized by DFT (GGA-PBE).

Structural model:
```
data_Cs3Sn4Hg2
_space_group_name_H-M_alt 'P -1'
_space_group_IT_number 2
_cell_length_a 5.406
_cell_length_b 7.494
_cell_length_c 10.027
_cell_angle_alpha 73.83
_cell_angle_beta 79.42
_cell_angle_gamma 70.59
loop_
_space_group_symop_operation_xyz
'x,y,z'
'-x,-y,-z'
loop_
_atom_site_label
_atom_site_type_symbol
_atom_site_fract_x
_atom_site_fract_y
_atom_site_fract_z
Cs1 Cs 0.000 0.000 0.000
Cs2 Cs 0.374 0.881 0.355
Sn1 Sn 0.067 0.469 0.349
Sn2 Sn 0.295 0.386 0.047
Hg1 Hg 0.341 0.631 0.741
```

Main lines, low angle first (15 to 90 degrees two-theta):
2θ (°)	I_rel	index
25.42	84	0 2 1
25.97	100	-1 1 1
27.67	46	1 2 2
27.94	67	0 0 3
29.61	44	0 2 -1
33.27	94	2 1 1
37.31	31	1 1 4
43.21	34	2 3 2
49.05	38	-1 3 2
50.78	59	1 4 3

***

Theoretical powder diffractogram of CsSn4Hg2 for Cu Kα, from a structure optimized by DFT (GGA-PBE).

Structural model:
```
data_CsSn4Hg2
_space_group_name_H-M_alt 'C m m m'
_space_group_IT_number 65
_space_group_name_Hall '-C 2 2'
_cell_length_a 5.198
_cell_length_b 17.723
_cell_length_c 5.004
_cell_angle_alpha 90.00
_cell_angle_beta 90.00
_cell_angle_gamma 90.00
loop_
_atom_site_label
_atom_site_type_symbol
_atom_site_fract_x
_atom_site_fract_y
_atom_site_fract_z
Cs1 Cs 0.000 0.000 0.000
Sn1 Sn 0.000 0.194 0.500
Sn2 Sn 0.000 0.302 0.000
Hg1 Hg 0.000 0.415 0.500
```

Main lines, low angle first (15 to 90 degrees two-theta):
2θ (°)	I_rel	index
17.76	41	0 0 1
25.21	46	1 1 1
26.88	28	0 4 1
29.02	92	1 3 1
30.53	35	1 5 0
34.51	55	2 0 0
35.28	25	0 6 1
35.52	100	1 5 1
35.89	49	0 0 2
50.64	38	2 0 2

***

Theoretical powder diffractogram of Cs2SnHg7 for Cu Kα, from a structure optimized by DFT (GGA-PBE).

Structural model:
```
data_Cs2SnHg7
_space_group_name_H-M_alt 'P -4 m 2'
_space_group_IT_number 115
_cell_length_a 5.363
_cell_length_b 5.363
_cell_length_c 12.229
_cell_angle_alpha 90.00
_cell_angle_beta 90.00
_cell_angle_gamma 90.00
loop_
_space_group_symop_operation_xyz
'x,y,z'
'y,-x,-z'
'-x,-y,z'
'-y,x,-z'
'-x,y,z'
'-y,-x,-z'
'x,-y,z'
'y,x,-z'
loop_
_atom_site_label
_atom_site_type_symbol
_atom_site_fract_x
_atom_site_fract_y
_atom_site_fract_z
Cs1 Cs 0.000 0.500 0.249
Sn1 Sn 0.000 0.000 0.500
Hg1 Hg 0.000 0.000 0.000
Hg2 Hg 0.000 0.500 0.615
Hg3 Hg 0.000 0.500 0.863
Hg4 Hg 0.500 0.500 0.000
Hg5 Hg 0.500 0.500 0.500
```

Main lines, low angle first (15 to 90 degrees two-theta):
2θ (°)	I_rel	index
18.06	27	1 0 1
27.48	68	1 0 3
27.68	100	1 1 2
33.41	100	2 0 0
37.80	69	1 1 4
40.54	24	1 0 5
43.79	39	2 1 3
47.98	37	2 2 0
56.29	28	3 1 2
62.64	33	3 1 4

***

Theoretical powder diffractogram of CsSrHg4 for Cu Kα, from a structure optimized by DFT (GGA-PBE).

Structural model:
```
data_CsSrHg4
_space_group_name_H-M_alt 'C 1 2 1'
_space_group_IT_number 5
_cell_length_a 9.083
_cell_length_b 5.245
_cell_length_c 9.138
_cell_angle_alpha 90.00
_cell_angle_beta 90.09
_cell_angle_gamma 90.00
loop_
_space_group_symop_operation_xyz
'x,y,z'
'-x,y,-z'
'x+1/2,y+1/2,z'
'-x+1/2,y+1/2,-z'
loop_
_atom_site_label
_atom_site_type_symbol
_atom_site_fract_x
_atom_site_fract_y
_atom_site_fract_z
Cs1 Cs 0.000 0.000 0.000
Sr1 Sr 0.000 0.001 0.500
Hg1 Hg 0.166 0.501 0.693
Hg2 Hg 0.167 0.501 0.307
```

Main lines, low angle first (15 to 90 degrees two-theta):
2θ (°)	I_rel	index
21.85	19	2 0 1
27.69	90	1 1 -2
29.32	26	0 0 3
34.19	100	3 1 0
39.63	22	3 1 -2
44.55	25	4 0 -2
45.65	48	3 1 3
57.33	24	4 2 -2
61.22	19	6 0 0
61.88	20	3 1 -5